# Ca7Zn2N6
Theoretical XRD peak list, Cu Kα (weighted mean of Kα1 and Kα2). Input: a GGA-PBE-relaxed structure.

Structure:
```
data_Ca7Zn2N6
_cell_length_a 7.0581
_cell_length_b 11.4982
_cell_length_c 6.1124
_cell_angle_alpha 90.00
_cell_angle_beta 92.21
_cell_angle_gamma 90.00
_space_group_name_H-M_alt 'C 1 2/m 1'
_space_group_IT_number 12
loop_
_space_group_symop_operation_xyz
'x,y,z'
'-x,-y,-z'
'-x,y,-z'
'x,-y,z'
'x+1/2,y+1/2,z'
'-x+1/2,-y+1/2,-z'
'-x+1/2,y+1/2,-z'
'x+1/2,-y+1/2,z'
loop_
_atom_site_label
_atom_site_type_symbol
_atom_site_fract_x
_atom_site_fract_y
_atom_site_fract_z
Ca1 Ca 0.0000 0.0000 0.0000
Ca2 Ca 0.0000 0.1471 0.5000
Ca3 Ca 0.1450 0.3412 0.8239
Zn1 Zn 0.1863 0.5000 0.3609
N1 N 0.1826 0.0000 0.3219
N2 N 0.2037 0.3408 0.2265
```

Principal peaks in the range 2θ = 10–90°, low angle first:
| index | Position (°2θ) | d (Å) | I_rel |
| --- | --- | --- | --- |
| 1 3 1 | 30.55 | 2.926 | 100 |
| 1 1 -2 | 32.44 | 2.760 | 64 |
| 2 2 -1 | 32.77 | 2.733 | 60 |
| 3 1 0 | 39.11 | 2.303 | 40 |
| 2 0 2 | 39.78 | 2.266 | 42 |
| 2 4 -1 | 42.87 | 2.110 | 47 |
| 0 6 0 | 47.44 | 1.916 | 27 |
| 0 4 3 | 55.29 | 1.661 | 22 |

***

# La12Mn3Al4Se28
Theoretical XRD peak list, Cu Kα (weighted mean of Kα1 and Kα2). Input: a GGA-PBE-relaxed structure.

Structure:
```
data_La12Mn3Al4Se28
_cell_length_a 10.6870
_cell_length_b 12.4027
_cell_length_c 12.4089
_cell_angle_alpha 60.95
_cell_angle_beta 64.55
_cell_angle_gamma 64.53
_space_group_name_H-M_alt 'P 1'
_space_group_IT_number 1
loop_
_space_group_symop_operation_xyz
'x,y,z'
loop_
_atom_site_label
_atom_site_type_symbol
_atom_site_fract_x
_atom_site_fract_y
_atom_site_fract_z
La1 La 0.0000 0.0000 0.0000
La2 La 0.9996 0.4990 0.5080
La3 La 0.0959 0.1941 0.2024
La4 La 0.1003 0.6986 0.6993
La5 La 0.3712 0.6876 0.1815
La6 La 0.3717 0.1772 0.6850
La7 La 0.4655 0.8777 0.3870
La8 La 0.4712 0.3818 0.8755
La9 La 0.6030 0.7479 0.7490
La10 La 0.6096 0.2420 0.2506
La11 La 0.8609 0.6376 0.1328
La12 La 0.8671 0.1308 0.6374
Mn1 Mn 0.2346 0.1875 0.4446
Mn2 Mn 0.2349 0.4487 0.1832
Mn3 Mn 0.2348 0.7085 0.9232
Al1 Al 0.5666 0.4389 0.5261
Al2 Al 0.5691 0.9392 0.0265
Al3 Al 0.9006 0.8556 0.4440
Al4 Al 0.9023 0.3551 0.9425
Se1 Se 0.0032 0.3713 0.3469
Se2 Se 0.0855 0.2039 0.6688
Se3 Se 0.0883 0.6903 0.1738
Se4 Se 0.1384 0.2051 0.9407
Se5 Se 0.1377 0.7067 0.4404
Se6 Se 0.1431 0.0096 0.4736
Se7 Se 0.1495 0.5033 0.9835
Se8 Se 0.3189 0.8886 0.8961
Se9 Se 0.3214 0.4009 0.3760
Se10 Se 0.3293 0.4385 0.6742
Se11 Se 0.3337 0.9427 0.1767
Se12 Se 0.3800 0.2136 0.1865
Se13 Se 0.3881 0.6930 0.6989
Se14 Se 0.4661 0.5328 0.0135
Se15 Se 0.4749 0.0383 0.5021
Se16 Se 0.5673 0.6274 0.3388
Se17 Se 0.5688 0.1259 0.8380
Se18 Se 0.6527 0.7476 0.9810
Se19 Se 0.6537 0.2465 0.4828
Se20 Se 0.7164 0.9098 0.1456
Se21 Se 0.7213 0.4061 0.6400
Se22 Se 0.7490 0.2407 0.9737
Se23 Se 0.7489 0.7392 0.4757
Se24 Se 0.8163 0.9007 0.6353
Se25 Se 0.8179 0.4002 0.1344
Se26 Se 0.8996 0.5458 0.7576
Se27 Se 0.9032 0.0404 0.2532
Se28 Se 0.9962 0.8551 0.8622
```

Principal peaks in the range 2θ = 10–90°, low angle first:
| index | Position (°2θ) | d (Å) | I_rel |
| --- | --- | --- | --- |
| 2 1 -1 | 23.86 | 3.729 | 51 |
| 2 -2 0 | 29.20 | 3.059 | 100 |
| 0 2 4 | 32.29 | 2.772 | 76 |
| 2 4 4 | 33.52 | 2.673 | 56 |
| 0 0 4 | 34.47 | 2.602 | 94 |
| -3 1 1 | 34.93 | 2.569 | 63 |
| 4 0 2 | 37.83 | 2.378 | 89 |
| 1 5 1 | 38.48 | 2.340 | 61 |

***

# CaZrSi2O7
Theoretical XRD peak list, Cu Kα (weighted mean of Kα1 and Kα2). Input: a GGA-PBE-relaxed structure.

Structure:
```
data_CaZrSi2O7
_cell_length_a 6.9136
_cell_length_b 8.7977
_cell_length_c 4.7468
_cell_angle_alpha 90.00
_cell_angle_beta 101.74
_cell_angle_gamma 90.00
_space_group_name_H-M_alt 'C 1 2 1'
_space_group_IT_number 5
loop_
_space_group_symop_operation_xyz
'x,y,z'
'-x,y,-z'
'x+1/2,y+1/2,z'
'-x+1/2,y+1/2,-z'
loop_
_atom_site_label
_atom_site_type_symbol
_atom_site_fract_x
_atom_site_fract_y
_atom_site_fract_z
Ca1 Ca 0.0000 0.0000 0.0000
Zr1 Zr 0.0000 0.3891 0.0000
Si1 Si 0.2124 0.7119 0.4167
O1 O 0.0000 0.7631 0.5000
O2 O 0.1241 0.2054 0.2825
O3 O 0.1901 0.5510 0.2364
O4 O 0.2378 0.3505 0.7907
```

Principal peaks in the range 2θ = 10–90°, low angle first:
| index | Position (°2θ) | d (Å) | I_rel |
| --- | --- | --- | --- |
| 1 1 0 | 16.52 | 5.365 | 45 |
| 1 1 1 | 27.34 | 3.262 | 55 |
| 0 2 1 | 27.93 | 3.195 | 100 |
| 2 0 -1 | 29.31 | 3.047 | 67 |
| 1 3 0 | 33.30 | 2.691 | 23 |
| 2 2 0 | 33.40 | 2.682 | 32 |
| 1 3 1 | 40.05 | 2.251 | 30 |
| 1 3 2 | 54.20 | 1.692 | 30 |

***

# Nd3AlNiS7
Theoretical XRD peak list, Cu Kα (weighted mean of Kα1 and Kα2). Input: a GGA-PBE-relaxed structure.

Structure:
```
data_Nd3AlNiS7
_cell_length_a 10.0149
_cell_length_b 10.0149
_cell_length_c 6.0214
_cell_angle_alpha 90.00
_cell_angle_beta 90.00
_cell_angle_gamma 120.00
_space_group_name_H-M_alt 'P 63'
_space_group_IT_number 173
loop_
_space_group_symop_operation_xyz
'x,y,z'
'x-y,x,z+1/2'
'-y,x-y,z'
'-x,-y,z+1/2'
'-x+y,-x,z'
'y,-x+y,z+1/2'
loop_
_atom_site_label
_atom_site_type_symbol
_atom_site_fract_x
_atom_site_fract_y
_atom_site_fract_z
Nd1 Nd 0.1404 0.3722 0.0000
Al1 Al 0.3333 0.6667 0.4230
Ni1 Ni 0.0000 0.0000 0.2750
S1 S 0.0870 0.2277 0.5397
S2 S 0.0976 0.5800 0.2744
S3 S 0.3333 0.6667 0.7922
```

Principal peaks in the range 2θ = 10–90°, low angle first:
| index | Position (°2θ) | d (Å) | I_rel |
| --- | --- | --- | --- |
| 1 0 1 | 17.93 | 4.946 | 43 |
| 1 1 1 | 23.10 | 3.850 | 33 |
| 2 0 1 | 25.31 | 3.519 | 100 |
| 1 2 0 | 27.20 | 3.278 | 41 |
| 3 0 1 | 34.41 | 2.606 | 39 |
| 2 2 0 | 35.87 | 2.504 | 36 |
| 2 0 2 | 36.33 | 2.473 | 48 |
| 3 1 1 | 40.38 | 2.234 | 45 |

***

# PmNdHg2
Theoretical XRD peak list, Cu Kα (weighted mean of Kα1 and Kα2). Input: a GGA-PBE-relaxed structure.

Structure:
```
data_PmNdHg2
_cell_length_a 7.6554
_cell_length_b 7.6554
_cell_length_c 7.6554
_cell_angle_alpha 90.00
_cell_angle_beta 90.00
_cell_angle_gamma 90.00
_space_group_name_H-M_alt 'F m -3 m'
_space_group_IT_number 225
_space_group_name_Hall '-F 4 2 3'
loop_
_atom_site_label
_atom_site_type_symbol
_atom_site_fract_x
_atom_site_fract_y
_atom_site_fract_z
Pm1 Pm 0.0000 0.0000 0.0000
Nd1 Nd 0.0000 0.0000 0.5000
Hg1 Hg 0.2500 0.2500 0.2500
```

Principal peaks in the range 2θ = 10–90°, low angle first:
| index | Position (°2θ) | d (Å) | I_rel |
| --- | --- | --- | --- |
| 2 0 0 | 23.24 | 3.828 | 3 |
| 2 2 0 | 33.10 | 2.707 | 100 |
| 4 0 0 | 47.51 | 1.914 | 18 |
| 4 2 0 | 53.53 | 1.712 | 1 |
| 4 2 2 | 59.12 | 1.563 | 39 |
| 4 4 0 | 69.45 | 1.353 | 12 |
| 6 2 0 | 79.12 | 1.210 | 17 |
| 4 4 4 | 88.48 | 1.105 | 4 |